Entry 1:
Starting from a crystal structure in the Materials Project, relaxed with PBE+U, the powder X-ray diffraction pattern of Fe5O7F3 was simulated for Cu Kα.
Lines closer than 0.1° are merged.

Lattice parameters (Å, degrees): 15.214 4.680 4.687 90.00 90.00 90.00
Space group Pmn2_1 (No. 31)
One atom of each set of equivalent atoms:
1 Fe 0.000 0.231 0.000 [2 per cell]
2 Fe 0.101 0.760 0.468 [4 per cell]
3 Fe 0.194 0.219 0.999 [4 per cell]
4 O 0.000 0.931 0.292 [2 per cell]
5 O 0.096 0.047 0.792 [4 per cell]
6 O 0.098 0.435 0.181 [4 per cell]
7 O 0.203 0.938 0.305 [4 per cell]
8 F 0.000 0.548 0.681 [2 per cell]
9 F 0.201 0.550 0.689 [4 per cell]

Peak list (10 most intense, 2θ from 5° to 70°, in order of rising 2θ)
index, 2theta, I/Imax
0 1 1, 26.92, 100
5 0 1, 35.17, 52
0 0 2, 38.44, 9
5 1 1, 40.25, 16
5 1 2, 53.08, 58
0 2 2, 55.49, 16
10 0 0, 60.89, 8
0 1 3, 62.73, 9
5 0 3, 67.42, 20
10 1 1, 67.79, 12

=====

Entry 2:
Starting from a crystal structure in the Materials Project, relaxed with PBE+U, the powder X-ray diffraction pattern of Li6V2B4SO16 was simulated for Cu Kα.
Lines closer than 0.1° are merged.

Lattice parameters (Å, degrees): 13.379 13.379 13.379 90.00 90.00 90.00
Space group Fd-3 (No. 203, origin choice 2)
One atom of each set of equivalent atoms:
1 Li 0.095 0.375 0.375 [48 per cell]
2 V 0.000 0.000 0.500 [16 per cell]
3 B 0.032 0.032 0.718 [32 per cell]
4 S 0.125 0.125 0.125 [8 per cell]
5 O 0.022 0.286 0.609 [96 per cell]
6 O 0.060 0.060 0.060 [32 per cell]

Peak list (10 most intense, 2θ from 5° to 70°, in order of rising 2θ)
index, 2theta, I/Imax
1 1 1, 11.46, 41
2 2 0, 18.76, 18
3 1 1, 22.03, 100
2 2 2, 23.03, 13
4 0 0, 26.65, 20
5 1 1, 34.84, 31
4 4 0, 38.05, 18
5 3 1, 39.86, 28
6 2 2, 44.94, 13
5 5 5, 59.87, 19

=====

Entry 3:
Starting from a crystal structure in the Materials Project, relaxed with PBE+U, the powder X-ray diffraction pattern of Li7Mn5O12 was simulated for Cu Kα.
Lines closer than 0.1° are merged.

Lattice parameters (Å, degrees): 6.913 8.631 8.765 60.66 87.87 77.71
Space group P-1 (No. 2)
One atom of each set of equivalent atoms:
1 Li 0.121 0.288 0.382 [2 per cell]
2 Li 0.127 0.618 0.386 [2 per cell]
3 Li 0.131 0.949 0.393 [2 per cell]
4 Li 0.247 0.749 0.748 [2 per cell]
5 Li 0.357 0.873 0.132 [2 per cell]
6 Li 0.358 0.212 0.134 [2 per cell]
7 Li 0.370 0.543 0.119 [2 per cell]
8 Mn 0.000 0.500 0.000 [1 per cell]
9 Mn 0.008 0.833 0.997 [2 per cell]
10 Mn 0.243 0.422 0.749 [2 per cell]
11 Mn 0.249 0.081 0.748 [2 per cell]
12 Mn 0.491 0.667 0.504 [2 per cell]
13 Mn 0.500 0.000 0.500 [1 per cell]
14 O 0.056 0.239 0.167 [2 per cell]
15 O 0.062 0.908 0.168 [2 per cell]
16 O 0.071 0.573 0.164 [2 per cell]
17 O 0.184 0.674 0.572 [2 per cell]
18 O 0.190 0.343 0.582 [2 per cell]
19 O 0.222 0.023 0.563 [2 per cell]
20 O 0.274 0.155 0.929 [2 per cell]
21 O 0.278 0.475 0.937 [2 per cell]
22 O 0.279 0.828 0.935 [2 per cell]
23 O 0.435 0.934 0.328 [2 per cell]
24 O 0.442 0.599 0.326 [2 per cell]
25 O 0.443 0.259 0.331 [2 per cell]

Peak list (10 most intense, 2θ from 5° to 70°, in order of rising 2θ)
index, 2theta, I/Imax
1 0 1, 18.26, 100
2 0 -2, 34.12, 16
1 3 0, 36.18, 12
0 3 3, 36.31, 11
3 0 -1, 41.01, 34
1 3 4, 44.17, 55
2 3 5, 58.18, 10
3 3 -2, 61.59, 9
-2 3 5, 61.87, 16
3 -3 0, 62.07, 8

=====

Entry 4:
Starting from a crystal structure in the Materials Project, relaxed with PBE+U, the powder X-ray diffraction pattern of CoBi2O6 was simulated for Cu Kα.
Lines closer than 0.1° are merged.

Lattice parameters (Å, degrees): 3.770 3.770 8.603 90.00 90.00 90.00
Space group P4mm (No. 99)
One atom of each set of equivalent atoms:
1 Co 0.000 0.000 0.000 [1 per cell]
2 Bi 0.500 0.500 0.214 [1 per cell]
3 Bi 0.500 0.500 0.656 [1 per cell]
4 O 0.000 0.000 0.222 [1 per cell]
5 O 0.000 0.000 0.804 [1 per cell]
6 O 0.000 0.500 0.045 [2 per cell]
7 O 0.000 0.500 0.516 [2 per cell]

Peak list (10 most intense, 2θ from 5° to 70°, in order of rising 2θ)
index, 2theta, I/Imax
0 0 2, 20.65, 49
1 0 0, 23.60, 59
1 0 1, 25.80, 20
1 0 2, 31.55, 100
1 1 0, 33.62, 49
1 1 2, 39.78, 47
2 0 0, 48.28, 29
1 0 4, 48.74, 19
2 0 2, 53.04, 17
2 1 2, 58.82, 36

=====

Entry 5:
Starting from a crystal structure in the Materials Project, relaxed with PBE+U, the powder X-ray diffraction pattern of Li2Mn3TeO8 was simulated for Cu Kα.
Lines closer than 0.1° are merged.

Lattice parameters (Å, degrees): 6.1044 6.1044 15.4471 90.00 90.00 120.00
Space group R-3m (No. 166, hexagonal axes)
One atom of each set of equivalent atoms:
1 Li 0.0000 0.0000 0.1397 [6 per cell]
2 Mn 0.0000 0.5000 0.0000 [9 per cell]
3 Te 0.0000 0.0000 0.5000 [3 per cell]
4 O 0.0000 0.0000 0.2734 [6 per cell]
5 O 0.0343 0.5172 0.2429 [18 per cell]

Peak list (10 most intense, 2θ from 5° to 70°, in order of rising 2θ)
index, 2theta, I/Imax
1 0 1, 17.73, 100
0 1 2, 20.36, 8
0 1 5, 33.60, 21
1 1 3, 34.15, 29
2 0 2, 35.91, 12
0 2 4, 41.39, 46
2 1 1, 45.79, 10
1 2 5, 54.71, 13
2 0 8, 59.27, 14
2 2 0, 60.68, 14